Entry 1:
For Pr3MgTl3, a cell relaxed with GGA-PBE gives the simulated powder X-ray diffraction pattern in this record (Cu Kα (λ = 1.5418 Å)).
Peak positions follow from Bragg's law for the DFT cell and can differ from measured ones.

Crystal structure
Cell: 9.4008 9.4008 5.5825 Å, 90.00 90.00 120.00°
Fractional positions:
Pr 0.0950 0.6463 0.2500
Pr 0.3537 0.4487 0.2500
Pr 0.4487 0.0950 0.7500
Pr 0.5513 0.9050 0.2500
Pr 0.6463 0.5513 0.7500
Pr 0.9050 0.3537 0.7500
Mg 0.3333 0.6667 0.7500
Mg 0.6667 0.3333 0.2500
Tl 0.0528 0.8084 0.7500
Tl 0.1916 0.2445 0.7500
Tl 0.2445 0.0528 0.2500
Tl 0.7555 0.9472 0.7500
Tl 0.8084 0.7555 0.2500
Tl 0.9472 0.1916 0.2500

Peak list (10 most intense, 10° ≤ 2θ ≤ 90°, in order of rising 2θ)
| d (Å) | Position (°2θ) | I_rel |
| --- | --- | --- |
| 8.141 | 10.9 | 18.0 |
| 3.077 | 29.0 | 24.4 |
| 2.791 | 32.1 | 25.0 |
| 2.695 | 33.2 | 100.0 |
| 2.067 | 43.8 | 16.1 |
| 1.777 | 51.4 | 16.9 |
| 1.592 | 57.9 | 20.7 |
| 1.499 | 61.9 | 19.4 |
| 1.483 | 62.6 | 13.8 |
| 1.139 | 85.2 | 9.9 |



Entry 2:
For Pr7Mg2Tl2, a cell relaxed with GGA-PBE gives the simulated powder X-ray diffraction pattern in this record (Cu Kα (λ = 1.5418 Å)).
Peak positions follow from Bragg's law for the DFT cell and can differ from measured ones.

Crystal structure
Cell: 6.9916 6.9916 8.5364 Å, 90.00 90.00 111.71°
Fractional positions:
Pr 0.0000 0.0000 0.0000
Pr 0.0000 0.5000 0.2916
Pr 0.0000 0.5000 0.7084
Pr 0.5000 0.0000 0.2916
Pr 0.5000 0.0000 0.7084
Pr 0.5000 0.5000 0.2595
Pr 0.5000 0.5000 0.7405
Mg 0.1742 0.1742 0.5000
Mg 0.8258 0.8258 0.5000
Tl 0.2921 0.7079 0.0000
Tl 0.7079 0.2921 0.0000

Peak list (10 most intense, 10° ≤ 2θ ≤ 90°, in order of rising 2θ)
| d (Å) | Position (°2θ) | I_rel |
| --- | --- | --- |
| 8.536 | 10.4 | 41.9 |
| 5.786 | 15.3 | 33.2 |
| 3.566 | 25.0 | 84.1 |
| 3.248 | 27.5 | 35.2 |
| 3.208 | 27.8 | 30.8 |
| 2.891 | 30.9 | 86.5 |
| 2.845 | 31.4 | 28.4 |
| 2.689 | 33.3 | 59.0 |
| 2.585 | 34.7 | 100.0 |
| 1.512 | 61.3 | 25.7 |



Entry 3:
For Pr2MgTl2, a cell relaxed with GGA-PBE gives the simulated powder X-ray diffraction pattern in this record (Cu Kα (λ = 1.5418 Å)).
Peak positions follow from Bragg's law for the DFT cell and can differ from measured ones.

Crystal structure
Cell: 9.3271 9.3271 6.6619 Å, 90.00 90.00 149.25°
Fractional positions:
Pr 0.0077 0.9923 0.5000
Pr 0.2027 0.7973 0.0747
Pr 0.7973 0.2027 0.5747
Pr 0.9923 0.0077 0.0000
Mg 0.3900 0.6100 0.2712
Mg 0.6100 0.3900 0.7712
Tl 0.1842 0.8158 0.5866
Tl 0.4120 0.5880 0.7441
Tl 0.5880 0.4120 0.2441
Tl 0.8158 0.1842 0.0866

Peak list (10 most intense, 10° ≤ 2θ ≤ 90°, in order of rising 2θ)
| d (Å) | Position (°2θ) | I_rel |
| --- | --- | --- |
| 3.727 | 23.9 | 16.1 |
| 3.311 | 26.9 | 23.0 |
| 2.909 | 30.7 | 100.0 |
| 2.731 | 32.8 | 62.5 |
| 2.677 | 33.5 | 16.9 |
| 2.509 | 35.8 | 20.7 |
| 2.473 | 36.3 | 36.5 |
| 2.228 | 40.5 | 23.1 |
| 2.191 | 41.2 | 17.5 |
| 1.655 | 55.5 | 18.5 |



Entry 4:
For Pr2Mg3Tl3, a cell relaxed with GGA-PBE gives the simulated powder X-ray diffraction pattern in this record (Cu Kα (λ = 1.5418 Å)).
Peak positions follow from Bragg's law for the DFT cell and can differ from measured ones.

Crystal structure
Cell: 4.8645 4.9121 9.0577 Å, 90.00 90.00 90.00°
Fractional positions:
Pr 0.0000 0.0000 0.2485
Pr 0.0000 0.0000 0.7515
Mg 0.0000 0.5000 0.5000
Mg 0.5000 0.5000 0.2522
Mg 0.5000 0.5000 0.7478
Tl 0.0000 0.5000 0.0000
Tl 0.5000 0.0000 0.0000
Tl 0.5000 0.0000 0.5000

Peak list (10 most intense, 10° ≤ 2θ ≤ 90°, in order of rising 2θ)
| d (Å) | Position (°2θ) | I_rel |
| --- | --- | --- |
| 4.912 | 18.1 | 18.7 |
| 3.315 | 26.9 | 14.6 |
| 2.748 | 32.6 | 100.0 |
| 2.456 | 36.6 | 18.3 |
| 2.432 | 37.0 | 17.9 |
| 2.264 | 39.8 | 14.5 |
| 1.728 | 53.0 | 12.8 |
| 1.468 | 63.4 | 14.9 |
| 1.458 | 63.9 | 14.9 |
| 1.383 | 67.7 | 12.2 |